Diffraction record for AcSmY3. The powder diffraction line list is simulated, not measured: it uses the GGA-PBE geometry in Alexandria and Cu Kα (weighted mean of Kα1 and Kα2).

The 10 most intense peaks (10° ≤ 2θ ≤ 90°), low angle first:
| 2theta | d_spacing | I/Imax |
| --- | --- | --- |
| 21.38 | 4.156 | 25 |
| 26.49 | 3.364 | 19 |
| 28.82 | 3.098 | 73 |
| 29.57 | 3.021 | 26 |
| 29.75 | 3.003 | 100 |
| 30.74 | 2.909 | 31 |
| 30.99 | 2.886 | 34 |
| 33.83 | 2.650 | 43 |
| 38.36 | 2.347 | 19 |
| 53.45 | 1.714 | 18 |

Atomic structure:
Lattice parameters (Å, degrees): 9.2042 9.2042 9.7272 90.04 90.04 119.17
Positions (direct):
Ac: 0.0025 0.9975 0.7500
Ac: 0.4280 0.5720 0.2500
Ac: 0.5720 0.4280 0.7500
Ac: 0.9975 0.0025 0.2500
Sm: 0.2056 0.4085 0.9337
Sm: 0.4085 0.2056 0.4337
Sm: 0.5915 0.7944 0.5663
Sm: 0.7944 0.5915 0.0663
Y: 0.0161 0.6104 0.7481
Y: 0.2120 0.4265 0.5746
Y: 0.2211 0.7758 0.0695
Y: 0.2242 0.7789 0.4305
Y: 0.3896 0.9839 0.7519
Y: 0.4265 0.2120 0.0746
Y: 0.5735 0.7880 0.9254
Y: 0.6104 0.0161 0.2481
Y: 0.7758 0.2211 0.5695
Y: 0.7789 0.2242 0.9305
Y: 0.7880 0.5735 0.4254
Y: 0.9839 0.3896 0.2519